Record 1
Calculated powder diffraction line list of Rb3TlFe4Br12 for a wavelength of 1.5418 Å, from DFT lattice parameters and positions (GGA-PBE).

Structure:
```
data_Rb3TlFe4Br12
_chemical_formula_sum 'Rb9 Tl3 Fe12 Br36'
_symmetry_space_group_name_H-M 'R 3 2'
_symmetry_Int_Tables_number 155
_symmetry_space_group_name_Hall 'R 3 2"'
_cell_length_a 15.7736
_cell_length_b 15.7736
_cell_length_c 13.2255
_cell_angle_alpha 90.00
_cell_angle_beta 90.00
_cell_angle_gamma 120.00
loop_
_atom_site_label
_atom_site_type_symbol
_atom_site_fract_x
_atom_site_fract_y
_atom_site_fract_z
_atom_site_occupancy
Rb1 Rb 0.0000 0.5223 0.0000 1
Tl1 Tl 0.0000 0.0000 0.0000 1
Fe1 Fe 0.0000 0.0000 0.5000 1
Fe2 Fe 0.0000 0.4685 0.5000 1
Br1 Br 0.0000 0.6166 0.5000 1
Br2 Br 0.0000 0.8518 0.5000 1
Br3 Br 0.0100 0.1904 0.1556 1
```

Top 8 peaks for 10° ≤ 2θ ≤ 80°, low angle first:
4.810 Å, I = 27.3, hkl 2 1 1; 4.751 Å, I = 100.0, hkl 2 0 2; 4.408 Å, I = 25.3, hkl 0 0 3; 3.642 Å, I = 24.0, hkl 1 3 1; 3.287 Å, I = 21.8, hkl 3 1 2; 2.977 Å, I = 39.7, hkl 0 2 4; 2.939 Å, I = 46.5, hkl 2 2 3; 2.276 Å, I = 38.6, hkl 6 0 0

***

Record 2
Calculated powder diffraction line list of HoBi2IrO8 for a wavelength of 1.5418 Å, from DFT lattice parameters and positions (GGA-PBE).

Structure:
```
data_HoBi2IrO8
_chemical_formula_sum 'Ho1 Bi2 Ir1 O8'
_symmetry_space_group_name_H-M 'P 1 2/m 1'
_symmetry_Int_Tables_number 10
_symmetry_space_group_name_Hall '-P 2y'
_cell_length_a 5.0823
_cell_length_b 6.7747
_cell_length_c 5.1170
_cell_angle_alpha 90.00
_cell_angle_beta 90.47
_cell_angle_gamma 90.00
loop_
_atom_site_label
_atom_site_type_symbol
_atom_site_fract_x
_atom_site_fract_y
_atom_site_fract_z
_atom_site_occupancy
Ho1 Ho 0.0000 0.0000 0.0000 1
Bi1 Bi 0.5000 0.2538 0.5000 1
Ir1 Ir 0.0000 0.5000 0.0000 1
O1 O 0.1605 0.2768 0.2012 1
O2 O 0.2909 0.5000 0.7736 1
O3 O 0.3261 0.0000 0.7038 1
```

Top 8 peaks for 10° ≤ 2θ ≤ 80°, low angle first:
3.621 Å, I = 54.0, hkl 1 0 -1; 3.591 Å, I = 54.9, hkl 1 0 1; 2.822 Å, I = 100.0, hkl 0 2 1; 2.541 Å, I = 17.1, hkl 2 0 0; 1.899 Å, I = 19.2, hkl 1 2 -2; 1.892 Å, I = 38.9, hkl 1 2 2; 1.885 Å, I = 18.6, hkl 2 2 1; 1.533 Å, I = 18.8, hkl 1 4 1

***

Record 3
Calculated powder diffraction line list of Ag5ClF4 for a wavelength of 1.5418 Å, from DFT lattice parameters and positions (GGA-PBE).

Structure:
```
data_Ag5ClF4
_chemical_formula_sum 'Ag10 Cl2 F8'
_symmetry_space_group_name_H-M 'I 4'
_symmetry_Int_Tables_number 79
_symmetry_space_group_name_Hall 'I 4'
_cell_length_a 8.0565
_cell_length_b 8.0565
_cell_length_c 5.2069
_cell_angle_alpha 90.00
_cell_angle_beta 90.00
_cell_angle_gamma 90.00
loop_
_atom_site_label
_atom_site_type_symbol
_atom_site_fract_x
_atom_site_fract_y
_atom_site_fract_z
_atom_site_occupancy
Ag1 Ag 0.0000 0.0000 0.0000 1
Ag2 Ag 0.1110 0.3177 0.5019 1
Cl1 Cl 0.0000 0.0000 0.5001 1
F1 F 0.1021 0.3037 0.0016 1
```

Top 8 peaks for 10° ≤ 2θ ≤ 80°, low angle first:
2.963 Å, I = 100.0, hkl 2 1 1; 2.603 Å, I = 40.9, hkl 0 0 2; 2.548 Å, I = 75.1, hkl 1 3 0; 1.821 Å, I = 51.4, hkl 1 3 2; 1.801 Å, I = 22.6, hkl 4 2 0; 1.564 Å, I = 14.7, hkl 2 1 3; 1.539 Å, I = 23.0, hkl 3 4 1; 1.481 Å, I = 22.5, hkl 4 2 2